Diffraction record for PrV2TcO8. The powder X-ray diffraction pattern is computed, not measured: it uses a DFT-relaxed cell (GGA+U, Alexandria) and CuKα.
Kinematic intensities with the Lorentz-polarization factor, no thermal factor.

Cell and atoms:
```
data_PrV2TcO8
_chemical_formula_sum 'Pr2 V4 Tc2 O16'
_cell_length_a 8.7515
_cell_length_b 5.8121
_cell_length_c 7.0063
_cell_angle_alpha 90.00
_cell_angle_beta 90.24
_cell_angle_gamma 90.00
_symmetry_space_group_name_H-M 'C 1 2/m 1'
_symmetry_Int_Tables_number 12
loop_
_symmetry_equiv_pos_as_xyz
'x,y,z'
'-x,-y,-z'
'-x,y,-z'
'x,-y,z'
'x+1/2,y+1/2,z'
'-x+1/2,-y+1/2,-z'
'-x+1/2,y+1/2,-z'
'x+1/2,-y+1/2,z'
loop_
_atom_site_label
_atom_site_fract_x
_atom_site_fract_y
_atom_site_fract_z
_atom_site_occupancy
Pr1 0.0000 0.0000 0.0000 1
V1 0.1400 0.5000 0.2750 1
Tc1 0.0000 0.0000 0.5000 1
O1 0.0264 0.2387 0.2862 1
O2 0.2238 0.0000 0.5497 1
O3 0.2269 0.5000 0.0568 1
```

Main lines, in order of rising 2θ (2θ from 10° to 80°):
- 2θ 18.32, d 4.842, I = 70, (1 1 0)
- 2θ 20.29, d 4.376, I = 41, (2 0 0)
- 2θ 22.34, d 3.980, I = 31, (1 1 1)
- 2θ 23.96, d 3.714, I = 18, (2 0 -1)
- 2θ 30.77, d 2.906, I = 35, (0 2 0)
- 2θ 31.52, d 2.839, I = 100, (1 1 -2)
- 2θ 34.40, d 2.607, I = 48, (3 1 0)
- 2θ 40.32, d 2.237, I = 18, (0 2 2)
- 2θ 45.60, d 1.989, I = 15, (2 2 2)
- 2θ 55.18, d 1.665, I = 22, (1 3 -2)